[1]
Structure and theoretical X-ray powder pattern of LaSm2Zn2In2 (the PBE geometry in Alexandria; CuKα).

Structure:
```
data_LaSm2Zn2In2
_cell_length_a 4.7781
_cell_length_b 4.7781
_cell_length_c 28.4186
_cell_angle_alpha 90.00
_cell_angle_beta 90.00
_cell_angle_gamma 120.00
_symmetry_space_group_name_H-M 'R -3 m'
_symmetry_Int_Tables_number 166
_symmetry_space_group_name_Hall '-R 3 2"'
loop_
_atom_site_label
_atom_site_fract_x
_atom_site_fract_y
_atom_site_fract_z
La1 0.0000 0.0000 0.0000
Sm1 0.0000 0.0000 0.1296
Zn1 0.0000 0.0000 0.4095
In1 0.0000 0.0000 0.2616
```

Principal peaks in the range 10° ≤ 2θ ≤ 90°, low angle first:
two_theta	I/Imax
21.70	26
30.86	92
33.24	76
37.65	100
49.44	24
51.09	23
62.57	34
63.77	22
65.17	21
67.96	17

=====

[2]
Structure and theoretical X-ray powder pattern of La2SmZn2In2 (the PBE geometry in Alexandria; CuKα).

Structure:
```
data_La2SmZn2In2
_cell_length_a 4.7535
_cell_length_b 4.7535
_cell_length_c 28.2951
_cell_angle_alpha 90.00
_cell_angle_beta 90.00
_cell_angle_gamma 120.00
_symmetry_space_group_name_H-M 'R -3 m'
_symmetry_Int_Tables_number 166
_symmetry_space_group_name_Hall '-R 3 2"'
loop_
_atom_site_label
_atom_site_fract_x
_atom_site_fract_y
_atom_site_fract_z
La1 0.0000 0.0000 0.1313
Sm1 0.0000 0.0000 0.0000
Zn1 0.0000 0.0000 0.3960
In1 0.0000 0.0000 0.2671
```

Principal peaks in the range 10° ≤ 2θ ≤ 90°, low angle first:
two_theta	I/Imax
21.82	25
31.01	87
33.40	88
37.85	100
49.71	23
51.36	26
62.90	42
64.13	21
65.54	24
68.36	17

=====

[3]
Structure and theoretical X-ray powder pattern of La3InSn3 (the PBE geometry in Alexandria; CuKα).

Structure:
```
data_La3InSn3
_cell_length_a 12.120
_cell_length_b 4.757
_cell_length_c 15.647
_cell_angle_alpha 90.00
_cell_angle_beta 107.15
_cell_angle_gamma 90.00
_symmetry_space_group_name_H-M 'C 1 2/m 1'
_symmetry_Int_Tables_number 12
loop_
_symmetry_equiv_pos_as_xyz
'x,y,z'
'-x,-y,-z'
'-x,y,-z'
'x,-y,z'
'x+1/2,y+1/2,z'
'-x+1/2,-y+1/2,-z'
'-x+1/2,y+1/2,-z'
'x+1/2,-y+1/2,z'
loop_
_atom_site_label
_atom_site_fract_x
_atom_site_fract_y
_atom_site_fract_z
La1 0.015 0.000 0.377
La2 0.107 0.000 0.923
La3 0.228 0.000 0.226
In1 0.228 0.500 0.376
Sn1 0.001 0.500 0.223
Sn2 0.116 0.500 0.075
Sn3 0.133 0.500 0.542
```

Principal peaks in the range 10° ≤ 2θ ≤ 90°, low angle first:
two_theta	I/Imax
28.53	53
29.01	27
29.59	100
33.78	33
34.70	61
36.27	16
37.83	42
42.32	16
48.77	19
56.61	19

=====

[4]
Structure and theoretical X-ray powder pattern of La2In8Sn (the PBE geometry in Alexandria; CuKα).

Structure:
```
data_La2In8Sn
_cell_length_a 4.943
_cell_length_b 4.943
_cell_length_c 12.866
_cell_angle_alpha 90.00
_cell_angle_beta 90.00
_cell_angle_gamma 90.00
_symmetry_space_group_name_H-M 'P 4/m m m'
_symmetry_Int_Tables_number 123
_symmetry_space_group_name_Hall '-P 4 2'
loop_
_atom_site_label
_atom_site_fract_x
_atom_site_fract_y
_atom_site_fract_z
La1 0.000 0.000 0.178
In1 0.000 0.500 0.000
In2 0.000 0.500 0.357
In3 0.500 0.500 0.175
Sn1 0.000 0.000 0.500
```

Principal peaks in the range 10° ≤ 2θ ≤ 90°, low angle first:
two_theta	I/Imax
29.08	9
33.06	100
36.35	42
42.14	10
52.35	14
56.85	16
63.33	30
69.37	9
86.58	7
88.45	7

=====

[5]
Structure and theoretical X-ray powder pattern of La6InSn2 (the PBE geometry in Alexandria; CuKα).

Structure:
```
data_La6InSn2
_cell_length_a 4.515
_cell_length_b 15.236
_cell_length_c 8.796
_cell_angle_alpha 90.00
_cell_angle_beta 90.00
_cell_angle_gamma 90.00
_symmetry_space_group_name_H-M 'A m m 2'
_symmetry_Int_Tables_number 38
loop_
_symmetry_equiv_pos_as_xyz
'x,y,z'
'-x,-y,z'
'-x,y,z'
'x,-y,z'
'x,y+1/2,z+1/2'
'-x,-y+1/2,z+1/2'
'-x,y+1/2,z+1/2'
'x,-y+1/2,z+1/2'
loop_
_atom_site_label
_atom_site_fract_x
_atom_site_fract_y
_atom_site_fract_z
La1 0.000 0.000 0.000
La2 0.000 0.135 0.592
La3 0.500 0.000 0.316
La4 0.500 0.206 0.934
In1 0.500 0.000 0.728
Sn1 0.000 0.167 0.228
```

Principal peaks in the range 10° ≤ 2θ ≤ 90°, low angle first:
two_theta	I/Imax
28.33	100
30.71	91
31.06	43
35.35	47
37.03	25
39.94	27
42.80	14
51.44	21
54.38	28
56.46	38

=====

[6]
Structure and theoretical X-ray powder pattern of La14InSn (the PBE geometry in Alexandria; CuKα).

Structure:
```
data_La14InSn
_cell_length_a 7.241
_cell_length_b 7.241
_cell_length_c 10.471
_cell_angle_alpha 90.00
_cell_angle_beta 90.00
_cell_angle_gamma 90.00
_symmetry_space_group_name_H-M 'P 4/m m m'
_symmetry_Int_Tables_number 123
_symmetry_space_group_name_Hall '-P 4 2'
loop_
_atom_site_label
_atom_site_fract_x
_atom_site_fract_y
_atom_site_fract_z
La1 0.000 0.000 0.000
La2 0.000 0.500 0.000
La3 0.000 0.500 0.500
La4 0.249 0.249 0.259
La5 0.500 0.500 0.000
In1 0.500 0.500 0.500
Sn1 0.000 0.000 0.500
```

Principal peaks in the range 10° ≤ 2θ ≤ 90°, low angle first:
two_theta	I/Imax
30.01	100
34.25	17
35.05	33
49.82	24
50.41	12
58.73	14
59.79	28
62.37	12
81.01	11
81.92	6

=====

[7]
Structure and theoretical X-ray powder pattern of La2InSn3 (the PBE geometry in Alexandria; CuKα).

Structure:
```
data_La2InSn3
_cell_length_a 13.807
_cell_length_b 9.714
_cell_length_c 5.810
_cell_angle_alpha 90.00
_cell_angle_beta 90.00
_cell_angle_gamma 90.00
_symmetry_space_group_name_H-M 'C m c m'
_symmetry_Int_Tables_number 63
_symmetry_space_group_name_Hall '-C 2c 2'
loop_
_atom_site_label
_atom_site_fract_x
_atom_site_fract_y
_atom_site_fract_z
La1 0.144 0.190 0.250
In1 0.000 0.370 0.750
Sn1 0.000 0.076 0.750
Sn2 0.178 0.500 0.000
```

Principal peaks in the range 10° ≤ 2θ ≤ 90°, low angle first:
two_theta	I/Imax
23.88	19
26.35	100
32.31	30
33.47	20
33.85	61
36.03	23
37.78	25
38.39	18
39.15	26
40.25	19

=====

[8]
Structure and theoretical X-ray powder pattern of La2InSn (the PBE geometry in Alexandria; CuKα).

Structure:
```
data_La2InSn
_cell_length_a 7.216
_cell_length_b 9.068
_cell_length_c 7.368
_cell_angle_alpha 90.00
_cell_angle_beta 90.00
_cell_angle_gamma 90.00
_symmetry_space_group_name_H-M 'I m m a'
_symmetry_Int_Tables_number 74
_symmetry_space_group_name_Hall '-I 2b 2'
loop_
_atom_site_label
_atom_site_fract_x
_atom_site_fract_y
_atom_site_fract_z
La1 0.250 0.025 0.250
In1 0.000 0.250 0.538
Sn1 0.000 0.250 0.961
```

Principal peaks in the range 10° ≤ 2θ ≤ 90°, low angle first:
two_theta	I/Imax
31.28	92
31.69	100
32.00	13
34.80	74
39.76	23
50.60	14
53.85	33
54.44	14
59.96	20
60.70	28

=====

[9]
Structure and theoretical X-ray powder pattern of La6In2Sn (the PBE geometry in Alexandria; CuKα).

Structure:
```
data_La6In2Sn
_cell_length_a 9.5765
_cell_length_b 9.5765
_cell_length_c 3.3502
_cell_angle_alpha 90.00
_cell_angle_beta 90.00
_cell_angle_gamma 120.00
_symmetry_space_group_name_H-M 'P 6/m m m'
_symmetry_Int_Tables_number 191
_symmetry_space_group_name_Hall '-P 6 2'
loop_
_atom_site_label
_atom_site_fract_x
_atom_site_fract_y
_atom_site_fract_z
La1 0.0000 0.3315 0.0000
In1 0.3333 0.6667 0.5000
Sn1 0.0000 0.0000 0.5000
```

Principal peaks in the range 10° ≤ 2θ ≤ 90°, low angle first:
two_theta	I/Imax
32.38	100
32.62	83
42.39	15
46.63	31
57.76	19
57.91	32
65.11	26
67.80	12
77.28	14
83.70	13

=====

[10]
Structure and theoretical X-ray powder pattern of La4InSn2 (the PBE geometry in Alexandria; CuKα).

Structure:
```
data_La4InSn2
_cell_length_a 6.054
_cell_length_b 6.852
_cell_length_c 11.102
_cell_angle_alpha 90.00
_cell_angle_beta 101.80
_cell_angle_gamma 90.00
_symmetry_space_group_name_H-M 'P 1 21/m 1'
_symmetry_Int_Tables_number 11
loop_
_symmetry_equiv_pos_as_xyz
'x,y,z'
'-x,-y,-z'
'-x,y+1/2,-z'
'x,-y+1/2,z'
loop_
_atom_site_label
_atom_site_fract_x
_atom_site_fract_y
_atom_site_fract_z
La1 0.159 0.250 0.123
La2 0.253 0.750 0.455
La3 0.316 0.021 0.740
In1 0.114 0.750 0.172
Sn1 0.208 0.250 0.432
Sn2 0.396 0.750 0.999
```

Principal peaks in the range 10° ≤ 2θ ≤ 90°, low angle first:
two_theta	I/Imax
26.03	53
29.58	78
30.15	47
30.42	66
30.85	88
31.47	100
32.08	78
32.92	37
33.35	63
53.51	43

=====

[11]
Structure and theoretical X-ray powder pattern of SrLaIn4 (the PBE geometry in Alexandria; CuKα).

Structure:
```
data_SrLaIn4
_cell_length_a 4.916
_cell_length_b 7.832
_cell_length_c 9.186
_cell_angle_alpha 90.00
_cell_angle_beta 90.00
_cell_angle_gamma 90.00
_symmetry_space_group_name_H-M 'I m m 2'
_symmetry_Int_Tables_number 44
loop_
_symmetry_equiv_pos_as_xyz
'x,y,z'
'-x,-y,z'
'-x,y,z'
'x,-y,z'
'x+1/2,y+1/2,z+1/2'
'-x+1/2,-y+1/2,z+1/2'
'-x+1/2,y+1/2,z+1/2'
'x+1/2,-y+1/2,z+1/2'
loop_
_atom_site_label
_atom_site_fract_x
_atom_site_fract_y
_atom_site_fract_z
Sr1 0.000 0.000 0.000
La1 0.000 0.500 0.105
In1 0.000 0.198 0.395
In2 0.000 0.302 0.717
```

Principal peaks in the range 10° ≤ 2θ ≤ 90°, low angle first:
two_theta	I/Imax
28.94	53
29.99	37
30.77	100
34.51	76
35.76	33
36.56	45
52.07	22
56.56	28
64.47	21
65.79	20

=====

[12]
Structure and theoretical X-ray powder pattern of SrLaIn (the PBE geometry in Alexandria; CuKα).

Structure:
```
data_SrLaIn
_cell_length_a 5.797
_cell_length_b 4.106
_cell_length_c 18.102
_cell_angle_alpha 90.00
_cell_angle_beta 90.00
_cell_angle_gamma 90.00
_symmetry_space_group_name_H-M 'A m m 2'
_symmetry_Int_Tables_number 38
loop_
_symmetry_equiv_pos_as_xyz
'x,y,z'
'-x,-y,z'
'-x,y,z'
'x,-y,z'
'x,y+1/2,z+1/2'
'-x,-y+1/2,z+1/2'
'-x,y+1/2,z+1/2'
'x,-y+1/2,z+1/2'
loop_
_atom_site_label
_atom_site_fract_x
_atom_site_fract_y
_atom_site_fract_z
Sr1 0.000 0.000 0.000
Sr2 0.000 0.000 0.301
La1 0.500 0.000 0.150
La2 0.500 0.000 0.450
In1 0.000 0.000 0.643
In2 0.500 0.000 0.805
```

Principal peaks in the range 10° ≤ 2θ ≤ 90°, low angle first:
two_theta	I/Imax
29.61	21
30.52	100
30.85	26
43.29	15
44.12	10
53.11	10
54.65	19
54.80	10
63.52	9
89.22	10